Simulated X-ray powder pattern of Sr2FeO3F for CuKα, from a structure optimized by DFT (PBE+U).
Lines closer than 0.1° are merged.

Cell and atoms:
Cell lengths 3.929, 3.929, 13.224 Å; angles 90.00, 90.00, 90.00 degrees
Atoms (fractional coordinates):
Sr1 0.250 0.250 0.104
Sr2 0.250 0.250 0.376
Sr3 0.750 0.750 0.624
Sr4 0.750 0.750 0.896
Fe1 0.250 0.250 0.772
Fe2 0.750 0.750 0.228
O1 0.250 0.250 0.918
O2 0.250 0.750 0.254
O3 0.250 0.750 0.746
O4 0.750 0.250 0.254
O5 0.750 0.250 0.746
O6 0.750 0.750 0.082
F1 0.250 0.250 0.566
F2 0.750 0.750 0.434

The 8 most intense peaks (2θ = 10–80°), sorted by position:
| (hkl) | two_theta | I/Imax |
| --- | --- | --- |
| 0 0 2 | 13.4 | 15 |
| 1 0 3 | 30.5 | 100 |
| 1 1 0 | 32.2 | 92 |
| 1 0 5 | 41.1 | 33 |
| 1 1 4 | 42.5 | 36 |
| 2 0 0 | 46.2 | 52 |
| 2 1 3 | 56.4 | 36 |
| 2 1 5 | 63.6 | 17 |